[1]
Theoretical X-ray diffraction stick pattern
Compound: PaAs2PdRh5
Radiation: copper Kα
Structure: a DFT-relaxed cell (PBE, Alexandria)
No peak broadening, texture or thermal motion is included.

Top 10 peaks for 2θ from 5° to 70°, low angle first:
2θ/deg	I/Imax	index
12.83	16.1	0 0 1
31.97	26.1	1 0 2
37.20	100.0	1 1 2
37.56	90.7	2 0 0
43.66	16.5	1 0 3
50.13	15.1	2 1 2
54.16	31.2	2 2 0
58.92	13.7	2 1 3
66.84	14.2	2 0 4
67.54	34.4	3 1 2

Cell and atoms:
a b c (Å): 4.7896 4.7896 6.9003
angles (deg): 90.00 90.00 90.00
Space group P4/mmm (No. 123)
Inequivalent atoms, fractional coordinates:
Pa: 0.0000 0.0000 0.0000
As: 0.5000 0.5000 0.1700
Pd: 0.0000 0.0000 0.5000
Rh: 0.0000 0.5000 0.2178
Rh: 0.5000 0.5000 0.5000

***

[2]
Theoretical X-ray diffraction stick pattern
Compound: NdPa2
Radiation: copper Kα
Structure: a DFT-relaxed cell (PBE, Alexandria)
No peak broadening, texture or thermal motion is included.

Top 10 peaks for 2θ from 5° to 70°, low angle first:
2θ/deg	I/Imax	index
11.30	10.3	0 0 2
32.53	100.0	1 0 3
34.37	20.8	0 0 6
39.34	30.5	1 1 0
40.05	4.4	1 0 5
53.21	24.5	1 1 6
56.85	10.7	2 0 0
60.40	15.7	1 0 9
67.05	25.8	2 1 3
68.14	11.8	2 0 6

Cell and atoms:
a b c (Å): 3.2392 3.2392 15.6563
angles (deg): 90.00 90.00 90.00
Space group I4/mmm (No. 139)
Inequivalent atoms, fractional coordinates:
Nd: 0.0000 0.0000 0.0000
Pa: 0.0000 0.0000 0.3262

***

[3]
Theoretical X-ray diffraction stick pattern
Compound: La2TbPm2Dy
Radiation: copper Kα
Structure: a DFT-relaxed cell (PBE, Alexandria)
No peak broadening, texture or thermal motion is included.

Top 10 peaks for 2θ from 5° to 70°, low angle first:
2θ/deg	I/Imax	index
24.98	6.5	0 0 2
30.82	90.7	1 1 2
31.03	100.0	2 0 0
40.23	11.0	2 0 2
44.30	33.4	0 4 2
51.25	8.2	0 0 4
55.07	35.0	3 1 2
55.20	19.5	3 3 0
61.13	28.9	2 0 4
64.68	12.0	4 0 0

Cell and atoms:
a b c (Å): 5.7626 9.9882 7.1305
angles (deg): 90.00 90.00 90.00
Space group Pmc2_1 (No. 26)
Inequivalent atoms, fractional coordinates:
La: 0.0000 0.0004 0.0000
La: 0.5000 0.1750 0.2502
Tb: 0.5000 0.4998 0.9999
Pm: 0.0000 0.3326 0.2501
Pm: 0.5000 0.1653 0.7497
Dy: 0.0000 0.3409 0.7499

***

[4]
Theoretical X-ray diffraction stick pattern
Compound: Pm2DyBr5
Radiation: copper Kα
Structure: a DFT-relaxed cell (PBE, Alexandria)
No peak broadening, texture or thermal motion is included.

Top 10 peaks for 2θ from 5° to 70°, low angle first:
2θ/deg	I/Imax	index
9.68	53.9	1 1 0
14.26	62.6	1 0 1
15.25	54.3	1 2 0
15.41	56.0	2 1 0
27.00	66.6	1 1 2
28.80	100.0	2 0 2
33.62	52.2	4 2 1
36.73	60.1	0 5 1
38.99	44.7	3 3 2
39.43	46.4	4 4 0

Cell and atoms:
a b c (Å): 12.8176 13.0373 7.0842
angles (deg): 90.00 90.00 90.00
Space group Pnnm (No. 58)
Inequivalent atoms, fractional coordinates:
Pm: 0.0000 0.0000 0.2469
Pm: 0.1028 0.4017 0.5000
Dy: 0.2111 0.3028 0.0000
Br: 0.0662 0.2197 0.2531
Br: 0.1428 0.6326 0.5000
Br: 0.1630 0.9041 0.0000
Br: 0.1892 0.9911 0.5000

***

[5]
Theoretical X-ray diffraction stick pattern
Compound: Ti3Si2H2
Radiation: copper Kα
Structure: a DFT-relaxed cell (PBE, Alexandria)
No peak broadening, texture or thermal motion is included.

Top 10 peaks for 2θ from 5° to 70°, low angle first:
2θ/deg	I/Imax	index
31.57	38.5	0 2 1
31.69	55.0	1 2 -1
34.76	25.4	1 0 -2
37.45	69.2	1 1 1
37.76	56.5	2 1 -1
42.18	59.3	1 3 -1
42.37	100.0	1 3 0
42.73	54.6	2 1 -2
42.84	36.8	1 2 -2
48.63	23.3	2 2 0

Cell and atoms:
a b c (Å): 5.0381 7.3401 5.1614
angles (deg): 90.00 120.21 90.00
Space group P2_1/c (No. 14)
Inequivalent atoms, fractional coordinates:
Ti: 0.0000 0.0000 0.0000
Ti: 0.2938 0.1250 0.6507
Si: 0.2152 0.7373 0.3348
H: 0.3494 0.1238 0.2997

***

[6]
Theoretical X-ray diffraction stick pattern
Compound: CoAg2Br6
Radiation: copper Kα
Structure: a DFT-relaxed cell (PBE, Alexandria)
No peak broadening, texture or thermal motion is included.

Top 10 peaks for 2θ from 5° to 70°, low angle first:
2θ/deg	I/Imax	index
12.71	24.8	2 0 0
13.64	73.8	1 1 -1
19.12	59.6	2 2 0
20.41	32.9	3 1 0
24.92	17.5	1 1 -2
26.10	28.6	2 2 1
27.23	100.0	1 3 1
29.73	27.9	0 2 2
32.92	48.1	5 1 0
46.21	23.9	7 1 -3

Cell and atoms:
a b c (Å): 15.4659 12.4655 7.6194
angles (deg): 90.00 115.77 90.00
Space group C2/c (No. 15)
Inequivalent atoms, fractional coordinates:
Co: 0.0000 0.2087 0.2500
Ag: 0.2152 0.4508 0.4508
Br: 0.0916 0.3161 0.1489
Br: 0.0994 0.1001 0.5036
Br: 0.1999 0.3781 0.7506

***

[7]
Theoretical X-ray diffraction stick pattern
Compound: Tb2Nd2Pd3
Radiation: copper Kα
Structure: a DFT-relaxed cell (PBE, Alexandria)
No peak broadening, texture or thermal motion is included.

Top 10 peaks for 2θ from 5° to 70°, low angle first:
2θ/deg	I/Imax	index
12.35	12.8	0 0 1
26.15	13.0	1 0 1
30.29	49.9	0 1 2
30.78	100.0	1 -2 1
43.15	18.6	1 0 -3
43.31	38.2	2 -1 0
44.25	35.2	1 2 1
44.81	17.7	0 3 -2
53.80	19.7	2 0 2
54.16	9.3	0 2 -4

Cell and atoms:
a b c (Å): 4.1741 6.9817 7.2634
angles (deg): 98.90 90.17 107.30
Space group P-1 (No. 2)
Inequivalent atoms, fractional coordinates:
Tb: 0.1291 0.2599 0.3982
Nd: 0.3697 0.7465 0.1319
Pd: 0.2601 0.5154 0.7548
Pd: 0.5000 0.0000 0.5000

***

[8]
Theoretical X-ray diffraction stick pattern
Compound: Pm6Dy16Tm7
Radiation: copper Kα
Structure: a DFT-relaxed cell (PBE, Alexandria)
No peak broadening, texture or thermal motion is included.

Top 10 peaks for 2θ from 5° to 70°, low angle first:
2θ/deg	I/Imax	index
27.82	7.9	4 2 2
29.55	22.5	3 3 3
32.23	100.0	4 4 0
33.75	8.0	5 3 1
44.29	10.0	7 3 1
46.23	12.4	8 0 0
53.11	6.8	7 5 3
57.48	21.6	8 4 4
58.45	7.4	9 3 3
61.01	9.3	7 7 3

Cell and atoms:
a b c (Å): 15.7102 15.7102 15.7102
angles (deg): 90.00 90.00 90.00
Space group Fm-3m (No. 225)
Inequivalent atoms, fractional coordinates:
Pm: 0.0000 0.0000 0.2158
Dy: 0.1223 0.1223 0.3777
Dy: 0.1537 0.1537 0.1537
Tm: 0.0000 0.0000 0.5000
Tm: 0.0000 0.2500 0.2500